No. 1
This entry pairs a crystal structure of MgBRh3 with its calculated XRD peak list. Radiation: Cu Kα, 1.54184 Å. Structure: a DFT-relaxed cell (GGA-PBE, Alexandria).
Kinematic intensities with the Lorentz-polarization factor, no thermal factor.

a b c (Å): 7.722 4.789 8.815
angles (deg): 90.00 122.35 90.00
Positions (direct):
Mg  0.128  0.242  0.046
Mg  0.128  0.258  0.546
Mg  0.872  0.742  0.454
Mg  0.872  0.758  0.954
B  0.381  0.738  0.548
B  0.381  0.762  0.048
B  0.619  0.238  0.952
B  0.619  0.262  0.452
Rh  0.109  0.613  0.812
Rh  0.109  0.887  0.312
Rh  0.311  0.100  0.874
Rh  0.311  0.400  0.374
Rh  0.456  0.599  0.806
Rh  0.456  0.901  0.306
Rh  0.544  0.099  0.694
Rh  0.544  0.401  0.194
Rh  0.689  0.600  0.626
Rh  0.689  0.900  0.126
Rh  0.891  0.113  0.688
Rh  0.891  0.387  0.188

Most intense lines, 2θ from 5° to 70°, by angle:
20.16 deg, I = 61
23.90 deg, I = 46
36.81 deg, I = 43
39.53 deg, I = 100
39.81 deg, I = 61
41.07 deg, I = 74

No. 2
This entry pairs a crystal structure of NdGa3Cu5 with its calculated XRD peak list. Radiation: Cu Kα, 1.54184 Å. Structure: a DFT-relaxed cell (GGA-PBE, Alexandria).
Kinematic intensities with the Lorentz-polarization factor, no thermal factor.

a b c (Å): 6.595 6.595 11.780
angles (deg): 90.00 90.00 144.95
Positions (direct):
Nd  0.177  0.823  0.750
Nd  0.823  0.177  0.250
Ga  0.111  0.889  0.250
Ga  0.379  0.621  0.052
Ga  0.379  0.621  0.448
Ga  0.621  0.379  0.552
Ga  0.621  0.379  0.948
Ga  0.889  0.111  0.750
Cu  0.000  0.000  0.000
Cu  0.000  0.000  0.500
Cu  0.190  0.810  0.060
Cu  0.190  0.810  0.440
Cu  0.449  0.551  0.645
Cu  0.449  0.551  0.855
Cu  0.551  0.449  0.145
Cu  0.551  0.449  0.355
Cu  0.810  0.190  0.560
Cu  0.810  0.190  0.940

Most intense lines, 2θ from 5° to 70°, by angle:
32.86 deg, I = 100
34.64 deg, I = 77
38.73 deg, I = 80
42.54 deg, I = 45
45.35 deg, I = 45
45.69 deg, I = 70